(1)
# Nd5As4Cl3O12
Theoretical PXRD pattern, Cu Kα (weighted mean of Kα1 and Kα2). Input: a crystal structure in Alexandria, relaxed with GGA-PBE.

Structural model:
Unit cell a=10.3968 b=5.4874 c=17.0216 alpha=90.00 beta=123.63 gamma=90.00
Space group P2/c (No. 13)
Symmetry-distinct sites (fractional):
Nd1 0.0000 0.2088 0.2500 x2
Nd2 0.0047 0.2645 0.5860 x4
Nd3 0.3365 0.2439 0.5310 x4
As1 0.2576 0.2644 0.1493 x4
As2 0.2708 0.2382 0.8613 x4
Cl1 0.4974 0.2539 0.4206 x4
Cl2 0.5000 0.2474 0.7500 x2
O1 0.0959 0.3294 0.1569 x4
O2 0.1377 0.1513 0.7421 x4
O3 0.1724 0.0121 0.0637 x4
O4 0.1798 0.4943 0.8789 x4
O5 0.1838 0.4987 0.5540 x4
O6 0.1888 0.0132 0.9028 x4

Main lines, low angle first (10° ≤ 2θ ≤ 90°):
h k l, 2θ (°), d_spacing, I_rel
1 0 0, 10.22, 8.657, 44
0 0 2, 12.49, 7.086, 19
2 1 -3, 24.74, 3.599, 37
0 1 3, 24.87, 3.580, 39
3 1 -3, 30.56, 2.925, 100
1 1 3, 30.77, 2.906, 89
2 0 -6, 31.54, 2.837, 40
0 2 0, 32.64, 2.744, 45
3 2 0, 45.63, 1.988, 21
2 2 -6, 46.02, 1.972, 44

=====

(2)
# ZrCuSn2
Theoretical PXRD pattern, Cu Kα (weighted mean of Kα1 and Kα2). Input: a crystal structure in Alexandria, relaxed with GGA-PBE.

Structural model:
Unit cell a=4.1868 b=4.1868 c=9.3363 alpha=90.00 beta=90.00 gamma=90.00
Space group P4/nmm (No. 129, origin choice 2)
Symmetry-distinct sites (fractional):
Zr1 0.2500 0.2500 0.2495 x2
Cu1 0.2500 0.7500 0.0000 x2
Sn1 0.2500 0.2500 0.8249 x2
Sn2 0.2500 0.7500 0.5000 x2

Main lines, low angle first (10° ≤ 2θ ≤ 90°):
h k l, 2θ (°), d_spacing, I_rel
0 0 3, 28.66, 3.115, 23
1 1 1, 31.71, 2.822, 12
1 1 2, 35.92, 2.500, 100
0 0 4, 38.57, 2.334, 9
2 0 0, 43.22, 2.093, 37
2 0 3, 52.69, 1.737, 13
2 0 4, 59.31, 1.558, 13
2 2 0, 62.77, 1.480, 12
3 1 2, 74.49, 1.274, 23
2 2 4, 76.19, 1.250, 9

=====

(3)
# Rb3U3Te8Pb
Theoretical PXRD pattern, Cu Kα (weighted mean of Kα1 and Kα2). Input: a crystal structure in Alexandria, relaxed with GGA-PBE.

Structural model:
Unit cell a=15.8657 b=9.1399 c=10.0529 alpha=90.00 beta=121.74 gamma=90.00
Space group C2/m (No. 12)
Symmetry-distinct sites (fractional):
Rb1 0.0000 0.0000 0.0000 x2
Rb2 0.2500 0.2500 0.0000 x4
U1 0.0000 0.5000 0.5000 x2
U2 0.2500 0.2500 0.5000 x4
Te1 0.0212 0.2644 0.2987 x8
Te2 0.2340 0.5000 0.7009 x4
Te3 0.2434 0.0000 0.7004 x4
Pb1 0.0000 0.0000 0.5000 x2

Main lines, low angle first (10° ≤ 2θ ≤ 90°):
h k l, 2θ (°), d_spacing, I_rel
0 0 1, 10.35, 8.550, 55
4 0 0, 26.44, 3.371, 100
2 2 -3, 33.31, 2.690, 21
2 2 2, 36.04, 2.492, 35
0 4 0, 39.39, 2.287, 37
6 2 -3, 40.84, 2.210, 13
2 2 3, 45.12, 2.010, 13
4 4 0, 48.07, 1.893, 19
6 2 2, 59.16, 1.562, 11
10 2 -2, 63.79, 1.459, 11